For Sc3Sn4, DFT lattice parameters and positions (GGA-PBE) gives the computed powder X-ray diffraction pattern in this record (copper Kα).
Kinematic intensities with the Lorentz-polarization factor, no thermal factor.

abc: 5.839 5.839 14.990
angles: 90.00 90.00 137.97
Sites, in units of the cell vectors:
Sc  0.088  0.912  0.500
Sc  0.345  0.655  0.348
Sc  0.345  0.655  0.652
Sc  0.655  0.345  0.152
Sc  0.655  0.345  0.848
Sc  0.912  0.088  0.000
Sn  0.000  0.000  0.250
Sn  0.000  0.000  0.750
Sn  0.177  0.823  0.000
Sn  0.362  0.638  0.141
Sn  0.362  0.638  0.859
Sn  0.638  0.362  0.359
Sn  0.638  0.362  0.641
Sn  0.823  0.177  0.500

The 10 most intense peaks (2θ = 15–90°), low angle first:
- d = 4.408 Å, 20.14°, I 26
- d = 3.783 Å, 23.51°, I 37
- d = 3.683 Å, 24.16°, I 24
- d = 2.745 Å, 32.62°, I 29
- d = 2.706 Å, 33.11°, I 100
- d = 2.578 Å, 34.81°, I 55
- d = 2.214 Å, 40.75°, I 24
- d = 2.204 Å, 40.94°, I 19
- d = 2.094 Å, 43.20°, I 29
- d = 1.316 Å, 71.75°, I 19

***

For Sc3Sn2, DFT lattice parameters and positions (GGA-PBE) gives the computed powder X-ray diffraction pattern in this record (copper Kα).
Kinematic intensities with the Lorentz-polarization factor, no thermal factor.

abc: 11.268 4.243 10.539
angles: 90.00 90.00 90.00
Sites, in units of the cell vectors:
Sc  0.054  0.250  0.130
Sc  0.130  0.750  0.566
Sc  0.224  0.250  0.791
Sc  0.276  0.750  0.291
Sc  0.370  0.250  0.066
Sc  0.446  0.750  0.630
Sc  0.554  0.250  0.370
Sc  0.630  0.750  0.934
Sc  0.724  0.250  0.709
Sc  0.776  0.750  0.209
Sc  0.870  0.250  0.434
Sc  0.946  0.750  0.870
Sn  0.013  0.750  0.318
Sn  0.191  0.750  0.994
Sn  0.309  0.250  0.494
Sn  0.487  0.250  0.818
Sn  0.513  0.750  0.182
Sn  0.691  0.750  0.506
Sn  0.809  0.250  0.006
Sn  0.987  0.250  0.682

The 10 most intense peaks (2θ = 15–90°), low angle first:
- d = 3.848 Å, 23.11°, I 94
- d = 3.538 Å, 25.17°, I 55
- d = 3.171 Å, 28.14°, I 80
- d = 2.850 Å, 31.38°, I 63
- d = 2.718 Å, 32.95°, I 74
- d = 2.631 Å, 34.07°, I 100
- d = 2.482 Å, 36.19°, I 92
- d = 2.291 Å, 39.33°, I 60
- d = 2.144 Å, 42.15°, I 65
- d = 2.121 Å, 42.62°, I 75

***

For Sc3Sn2, DFT lattice parameters and positions (GGA-PBE) gives the computed powder X-ray diffraction pattern in this record (copper Kα).
Kinematic intensities with the Lorentz-polarization factor, no thermal factor.

abc: 8.332 8.332 8.332
angles: 139.86 139.86 58.07
Sites, in units of the cell vectors:
Sc  0.000  0.000  0.000
Sc  0.000  0.000  0.500
Sc  0.000  0.500  0.000
Sc  0.375  0.625  0.750
Sc  0.500  0.000  0.500
Sc  0.625  0.375  0.250
Sn  0.177  0.427  0.750
Sn  0.427  0.177  0.250
Sn  0.573  0.823  0.750
Sn  0.823  0.573  0.250

The 10 most intense peaks (2θ = 15–90°), low angle first:
- d = 3.536 Å, 25.19°, I 79
- d = 2.860 Å, 31.28°, I 87
- d = 2.596 Å, 34.54°, I 100
- d = 2.519 Å, 35.64°, I 51
- d = 2.263 Å, 39.83°, I 53
- d = 1.922 Å, 47.29°, I 35
- d = 1.755 Å, 52.11°, I 24
- d = 1.595 Å, 57.79°, I 22
- d = 1.252 Å, 75.98°, I 20
- d = 1.135 Å, 85.60°, I 22

***

For Sc8Sn3, DFT lattice parameters and positions (GGA-PBE) gives the computed powder X-ray diffraction pattern in this record (copper Kα).
Kinematic intensities with the Lorentz-polarization factor, no thermal factor.

abc: 6.677 6.677 6.677
angles: 89.19 89.19 89.19
Sites, in units of the cell vectors:
Sc  0.157  0.157  0.157
Sc  0.189  0.365  0.612
Sc  0.365  0.612  0.189
Sc  0.388  0.811  0.635
Sc  0.612  0.189  0.365
Sc  0.635  0.388  0.811
Sc  0.811  0.635  0.388
Sc  0.843  0.843  0.843
Sn  0.000  0.000  0.500
Sn  0.000  0.500  0.000
Sn  0.500  0.000  0.000

The 10 most intense peaks (2θ = 15–90°), low angle first:
- d = 3.909 Å, 22.75°, I 33
- d = 3.836 Å, 23.18°, I 81
- d = 3.338 Å, 26.71°, I 48
- d = 2.969 Å, 30.10°, I 100
- d = 2.758 Å, 32.47°, I 40
- d = 2.719 Å, 32.94°, I 43
- d = 2.377 Å, 37.85°, I 41
- d = 2.344 Å, 38.40°, I 35
- d = 2.010 Å, 45.10°, I 88
- d = 1.501 Å, 61.80°, I 34

***

For Sc13Sn2, DFT lattice parameters and positions (GGA-PBE) gives the computed powder X-ray diffraction pattern in this record (copper Kα).
Kinematic intensities with the Lorentz-polarization factor, no thermal factor.

abc: 6.283 7.819 8.159
angles: 67.00 77.91 82.86
Sites, in units of the cell vectors:
Sc  0.000  0.000  0.000
Sc  0.122  0.483  0.751
Sc  0.198  0.220  0.158
Sc  0.267  0.937  0.584
Sc  0.314  0.659  0.975
Sc  0.375  0.411  0.387
Sc  0.472  0.146  0.795
Sc  0.528  0.854  0.205
Sc  0.625  0.589  0.613
Sc  0.686  0.341  0.025
Sc  0.733  0.063  0.416
Sc  0.802  0.780  0.842
Sc  0.878  0.517  0.249
Sn  0.064  0.768  0.379
Sn  0.936  0.232  0.621

The 10 most intense peaks (2θ = 15–90°), low angle first:
- d = 2.876 Å, 31.10°, I 12
- d = 2.647 Å, 33.86°, I 45
- d = 2.608 Å, 34.38°, I 44
- d = 2.586 Å, 34.69°, I 100
- d = 2.494 Å, 36.01°, I 41
- d = 2.481 Å, 36.20°, I 43
- d = 1.941 Å, 46.81°, I 18
- d = 1.771 Å, 51.61°, I 13
- d = 1.747 Å, 52.36°, I 12
- d = 1.452 Å, 64.12°, I 20

***

For Sr2ScSn2, DFT lattice parameters and positions (GGA-PBE) gives the computed powder X-ray diffraction pattern in this record (copper Kα).
Kinematic intensities with the Lorentz-polarization factor, no thermal factor.

abc: 7.950 7.950 5.136
angles: 90.00 90.00 90.00
Sites, in units of the cell vectors:
Sr  0.169  0.331  0.000
Sr  0.331  0.831  0.000
Sr  0.669  0.169  0.000
Sr  0.831  0.669  0.000
Sc  0.000  0.000  0.500
Sc  0.500  0.500  0.500
Sn  0.134  0.634  0.500
Sn  0.366  0.134  0.500
Sn  0.634  0.866  0.500
Sn  0.866  0.366  0.500

The 10 most intense peaks (2θ = 15–90°), low angle first:
- d = 5.622 Å, 15.76°, I 13
- d = 3.144 Å, 28.39°, I 8
- d = 2.923 Å, 30.58°, I 100
- d = 2.568 Å, 34.94°, I 20
- d = 2.514 Å, 35.71°, I 24
- d = 1.805 Å, 50.56°, I 8
- d = 1.796 Å, 50.82°, I 17
- d = 1.572 Å, 58.74°, I 7
- d = 1.542 Å, 59.97°, I 16
- d = 1.419 Å, 65.82°, I 13

***

For TbSc4Sn4, DFT lattice parameters and positions (GGA-PBE) gives the computed powder X-ray diffraction pattern in this record (copper Kα).
Kinematic intensities with the Lorentz-polarization factor, no thermal factor.

abc: 9.477 9.477 5.808
angles: 90.00 90.00 90.00
Sites, in units of the cell vectors:
Tb  0.250  0.250  0.250
Tb  0.750  0.750  0.750
Sc  0.105  0.642  0.146
Sc  0.142  0.895  0.646
Sc  0.358  0.605  0.646
Sc  0.395  0.858  0.146
Sc  0.605  0.142  0.854
Sc  0.642  0.395  0.354
Sc  0.858  0.105  0.354
Sc  0.895  0.358  0.854
Sn  0.046  0.606  0.661
Sn  0.106  0.954  0.161
Sn  0.394  0.546  0.161
Sn  0.454  0.894  0.661
Sn  0.546  0.106  0.339
Sn  0.606  0.454  0.839
Sn  0.894  0.046  0.839
Sn  0.954  0.394  0.339

The 10 most intense peaks (2θ = 15–90°), low angle first:
- d = 4.952 Å, 17.91°, I 63
- d = 3.423 Å, 26.03°, I 46
- d = 2.997 Å, 29.81°, I 100
- d = 2.776 Å, 32.24°, I 36
- d = 2.395 Å, 37.56°, I 56
- d = 2.137 Å, 42.28°, I 78
- d = 2.119 Å, 42.67°, I 24
- d = 2.085 Å, 43.39°, I 25
- d = 1.373 Å, 68.33°, I 23
- d = 1.319 Å, 71.55°, I 24

***

For TbSc2Sn, DFT lattice parameters and positions (GGA-PBE) gives the computed powder X-ray diffraction pattern in this record (copper Kα).
Kinematic intensities with the Lorentz-polarization factor, no thermal factor.

abc: 4.402 4.495 10.879
angles: 90.00 101.63 90.00
Sites, in units of the cell vectors:
Tb  0.189  0.250  0.380
Tb  0.811  0.750  0.620
Sc  0.055  0.750  0.110
Sc  0.440  0.750  0.878
Sc  0.560  0.250  0.122
Sc  0.945  0.250  0.890
Sn  0.341  0.250  0.681
Sn  0.659  0.750  0.319

The 10 most intense peaks (2θ = 15–90°), low angle first:
- d = 3.552 Å, 25.07°, I 20
- d = 3.111 Å, 28.69°, I 100
- d = 2.876 Å, 31.10°, I 30
- d = 2.787 Å, 32.12°, I 18
- d = 2.664 Å, 33.64°, I 24
- d = 2.531 Å, 35.47°, I 77
- d = 2.247 Å, 40.12°, I 30
- d = 2.201 Å, 41.01°, I 32
- d = 2.187 Å, 41.27°, I 23
- d = 1.572 Å, 58.72°, I 19